The following is a computed XRD peak list of AlBiTe. It was derived from DFT lattice parameters and positions (GGA-PBE), using Cu Kα X-rays.
No peak broadening, texture or thermal motion is included.

Cell and atoms:
abc: 5.7194 3.9211 7.7184
angles: 90.00 92.83 90.00
Space group P2_1/m (No. 11)
Inequivalent atoms, fractional coordinates:
Al 0.0031 0.2500 0.2891 x2
Bi 0.2674 0.7500 0.0567 x2
Te 0.2799 0.2500 0.5953 x2

Principal peaks in the range 2θ from 15° to 90°, sorted by position:
d = 3.854 Å, intensity 25; d = 3.495 Å, intensity 17; d = 3.271 Å, intensity 21; d = 3.124 Å, intensity 42; d = 3.011 Å, intensity 100; d = 2.952 Å, intensity 49; d = 2.856 Å, intensity 31; d = 2.351 Å, intensity 19; d = 2.188 Å, intensity 21; d = 2.149 Å, intensity 35; d = 1.960 Å, intensity 18; d = 1.683 Å, intensity 19

The following is a computed XRD peak list of Mg2Sc13. It was derived from DFT lattice parameters and positions (GGA-PBE), using Cu Kα X-rays.
No peak broadening, texture or thermal motion is included.

Cell and atoms:
abc: 6.2300 7.8990 8.2365
angles: 66.38 78.46 82.20
Space group P-1 (No. 2)
Inequivalent atoms, fractional coordinates:
Mg 0.0639 0.2497 0.3841 x2
Sc 0.0000 0.5000 0.0000 x1
Sc 0.1214 0.9816 0.7558 x2
Sc 0.1966 0.7254 0.1539 x2
Sc 0.2520 0.4451 0.5755 x2
Sc 0.3144 0.1653 0.9722 x2
Sc 0.3834 0.9061 0.3865 x2
Sc 0.4767 0.6394 0.7963 x2

Principal peaks in the range 2θ from 15° to 90°, sorted by position:
d = 2.687 Å, intensity 9; d = 2.660 Å, intensity 45; d = 2.594 Å, intensity 100; d = 2.578 Å, intensity 54; d = 2.568 Å, intensity 8; d = 2.512 Å, intensity 92; d = 1.917 Å, intensity 15; d = 1.792 Å, intensity 13; d = 1.761 Å, intensity 14; d = 1.540 Å, intensity 10; d = 1.468 Å, intensity 11; d = 1.458 Å, intensity 9

The following is a computed XRD peak list of NaF5. It was derived from DFT lattice parameters and positions (GGA-PBE), using Cu Kα X-rays.
No peak broadening, texture or thermal motion is included.

Cell and atoms:
abc: 3.6728 8.6035 6.9979
angles: 90.00 103.51 90.00
Space group P2_1/m (No. 11)
Inequivalent atoms, fractional coordinates:
Na 0.0433 0.2500 0.1062 x2
F 0.1641 0.6670 0.2942 x4
F 0.3767 0.7500 0.7123 x2
F 0.4647 0.5710 0.9157 x4

Principal peaks in the range 2θ from 15° to 90°, sorted by position:
d = 4.302 Å, intensity 75; d = 3.298 Å, intensity 84; d = 3.257 Å, intensity 71; d = 3.164 Å, intensity 100; d = 2.748 Å, intensity 60; d = 2.723 Å, intensity 71; d = 2.669 Å, intensity 50; d = 2.148 Å, intensity 52; d = 2.091 Å, intensity 45; d = 1.836 Å, intensity 54; d = 1.755 Å, intensity 40; d = 1.723 Å, intensity 39

The following is a computed XRD peak list of LiTlO2. It was derived from DFT lattice parameters and positions (GGA-PBE), using Cu Kα X-rays.
No peak broadening, texture or thermal motion is included.

Cell and atoms:
abc: 5.5981 3.2249 10.6833
angles: 90.00 90.00 90.00
Space group Pnma (No. 62)
Inequivalent atoms, fractional coordinates:
Li 0.1028 0.2500 0.1030 x4
Tl 0.1043 0.7500 0.3647 x4
O 0.0996 0.7500 0.7371 x4
O 0.2447 0.7500 0.9977 x4

Principal peaks in the range 2θ from 15° to 90°, sorted by position:
d = 4.959 Å, intensity 100; d = 3.865 Å, intensity 73; d = 3.087 Å, intensity 51; d = 3.005 Å, intensity 51; d = 2.706 Å, intensity 57; d = 2.671 Å, intensity 28; d = 2.476 Å, intensity 87; d = 2.199 Å, intensity 55; d = 2.114 Å, intensity 45; d = 1.781 Å, intensity 26; d = 1.698 Å, intensity 31; d = 1.658 Å, intensity 29

The following is a computed XRD peak list of Pm2NdSi. It was derived from DFT lattice parameters and positions (GGA-PBE), using Cu Kα X-rays.
No peak broadening, texture or thermal motion is included.

Cell and atoms:
abc: 3.9139 3.9139 29.1913
angles: 90.00 90.00 120.00
Space group R3m (No. 160, hexagonal axes)
Inequivalent atoms, fractional coordinates:
Pm 0.0000 0.0000 0.0000 x3
Pm 0.0000 0.0000 0.2087 x3
Nd 0.0000 0.0000 0.7697 x3
Si 0.0000 0.0000 0.6046 x3

Principal peaks in the range 2θ from 15° to 90°, sorted by position:
d = 3.367 Å, intensity 28; d = 3.243 Å, intensity 39; d = 3.074 Å, intensity 73; d = 2.931 Å, intensity 100; d = 2.630 Å, intensity 16; d = 2.212 Å, intensity 18; d = 1.957 Å, intensity 41; d = 1.872 Å, intensity 17; d = 1.776 Å, intensity 16; d = 1.676 Å, intensity 35; d = 1.628 Å, intensity 17; d = 1.251 Å, intensity 14